Entry 1:
This entry pairs a crystal structure of Mg6GaFe with its simulated X-ray diffraction stick pattern. Radiation: Cu Kα. Structure: a structure optimized by DFT (PBE).
Neutral-atom scattering factors, no anomalous dispersion.

Atomic structure:
```
data_Mg6GaFe
_space_group_name_H-M_alt 'A m m 2'
_space_group_IT_number 38
_space_group_name_Hall 'A 2 -2'
_cell_length_a 4.8686
_cell_length_b 6.0884
_cell_length_c 10.5850
_cell_angle_alpha 90.00
_cell_angle_beta 90.00
_cell_angle_gamma 90.00
loop_
_atom_site_label
_atom_site_type_symbol
_atom_site_fract_x
_atom_site_fract_y
_atom_site_fract_z
_atom_site_occupancy
Mg1 Mg 0.0000 0.0000 0.0000 1
Mg2 Mg 0.0000 0.0000 0.4943 1
Mg3 Mg 0.0000 0.2414 0.2570 1
Mg4 Mg 0.5000 0.2487 0.5863 1
Ga1 Ga 0.5000 0.0000 0.8373 1
Fe1 Fe 0.5000 0.0000 0.3369 1
```

Principal peaks in the range 2θ from 10° to 90°, sorted by position:
d/Å	2θ (°)	I (rel.)	index
5.292	16.75	17	0 0 2
2.641	33.94	29	0 2 2
2.434	36.93	25	2 0 0
2.322	38.79	100	1 0 4
1.790	51.02	18	2 2 2
1.383	67.77	18	3 0 4

Entry 2:
This entry pairs a crystal structure of Hf4Co4Si7 with its simulated X-ray diffraction stick pattern. Radiation: Cu Kα. Structure: a structure optimized by DFT (PBE).
Neutral-atom scattering factors, no anomalous dispersion.

Atomic structure:
```
data_Hf4Co4Si7
_space_group_name_H-M_alt 'I 4/m m m'
_space_group_IT_number 139
_space_group_name_Hall '-I 4 2'
_cell_length_a 12.8615
_cell_length_b 12.8615
_cell_length_c 5.0468
_cell_angle_alpha 90.00
_cell_angle_beta 90.00
_cell_angle_gamma 90.00
loop_
_atom_site_label
_atom_site_type_symbol
_atom_site_fract_x
_atom_site_fract_y
_atom_site_fract_z
_atom_site_occupancy
Hf1 Hf 0.0000 0.1964 0.0000 1
Hf2 Hf 0.1375 0.1375 0.5000 1
Co1 Co 0.1479 0.3521 0.2500 1
Si1 Si 0.0000 0.0000 0.2495 1
Si2 Si 0.0000 0.3014 0.5000 1
Si3 Si 0.0000 0.4082 0.0000 1
Si4 Si 0.2103 0.2103 0.0000 1
```

Principal peaks in the range 2θ from 10° to 90°, sorted by position:
d/Å	2θ (°)	I (rel.)	index
3.267	27.29	24	3 0 1
2.913	30.69	40	3 2 1
2.653	33.78	30	4 1 1
2.292	39.31	100	5 0 1
2.144	42.15	69	6 0 0
1.403	66.64	27	7 3 2

Entry 3:
This entry pairs a crystal structure of HXeF7 with its simulated X-ray diffraction stick pattern. Radiation: Cu Kα. Structure: a structure optimized by DFT (PBE).
Neutral-atom scattering factors, no anomalous dispersion.

Atomic structure:
```
data_HXeF7
_space_group_name_H-M_alt 'R -3'
_space_group_IT_number 148
_space_group_name_Hall '-R 3'
_cell_length_a 17.4871
_cell_length_b 17.4871
_cell_length_c 11.6393
_cell_angle_alpha 90.00
_cell_angle_beta 90.00
_cell_angle_gamma 120.00
loop_
_atom_site_label
_atom_site_type_symbol
_atom_site_fract_x
_atom_site_fract_y
_atom_site_fract_z
_atom_site_occupancy
H1 H 0.0602 0.5441 0.1222 1
Xe1 Xe 0.0353 0.8373 0.2045 1
F1 F 0.0110 0.1016 0.8932 1
F2 F 0.0110 0.7604 0.0637 1
F3 F 0.0406 0.9218 0.3248 1
F4 F 0.0496 0.4956 0.1713 1
F5 F 0.0524 0.6026 0.0164 1
F6 F 0.0641 0.2198 0.1555 1
F7 F 0.0911 0.2421 0.7534 1
```

Principal peaks in the range 2θ from 10° to 90°, sorted by position:
d/Å	2θ (°)	I (rel.)	index
5.432	16.32	31	0 1 2
5.136	17.26	100	3 -1 1
5.048	17.57	15	3 0 0
4.081	21.78	28	1 2 2
3.951	22.50	19	1 3 1
2.464	36.46	17	6 -5 2

Entry 4:
This entry pairs a crystal structure of CeMgTl with its simulated X-ray diffraction stick pattern. Radiation: Cu Kα. Structure: a structure optimized by DFT (PBE).
Neutral-atom scattering factors, no anomalous dispersion.

Atomic structure:
```
data_CeMgTl
_space_group_name_H-M_alt 'P -6 2 m'
_space_group_IT_number 189
_space_group_name_Hall 'P -6 -2'
_cell_length_a 7.7717
_cell_length_b 7.7717
_cell_length_c 4.7822
_cell_angle_alpha 90.00
_cell_angle_beta 90.00
_cell_angle_gamma 120.00
loop_
_atom_site_label
_atom_site_type_symbol
_atom_site_fract_x
_atom_site_fract_y
_atom_site_fract_z
_atom_site_occupancy
Ce1 Ce 0.0000 0.4243 0.0000 1
Mg1 Mg 0.0000 0.7569 0.5000 1
Tl1 Tl 0.0000 0.0000 0.0000 1
Tl2 Tl 0.3333 0.6667 0.5000 1
```

Principal peaks in the range 2θ from 10° to 90°, sorted by position:
d/Å	2θ (°)	I (rel.)	index
3.891	22.86	77	1 1 0
3.016	29.62	49	1 1 1
2.752	32.53	100	2 0 1
2.391	37.62	26	0 0 2
2.245	40.17	60	3 0 0
1.470	63.26	28	3 2 1